Diffraction record for HfAl3Ni12. The X-ray powder pattern is theoretical, not measured: it uses a structure optimized by DFT (GGA-PBE) and a wavelength of 1.5418 Å.
Neutral-atom scattering factors, no anomalous dispersion.

Most intense lines, 2θ = 10–90°, by angle:
d = 7.136 Å, 2θ = 12.40°, I 8; d = 3.510 Å, 2θ = 25.38°, I 9; d = 2.080 Å, 2θ = 43.50°, I 100; d = 1.811 Å, 2θ = 50.40°, I 32; d = 1.784 Å, 2θ = 51.20°, I 15; d = 1.280 Å, 2θ = 74.05°, I 10; d = 1.271 Å, 2θ = 74.69°, I 18; d = 1.090 Å, 2θ = 89.99°, I 23

Cell and atoms:
a = 3.6212 Å, b = 3.6212 Å, c = 14.2730 Å
α = 90.00°, β = 90.00°, γ = 90.00°
Space group P4/mmm (No. 123)
Unique sites:
Hf (0.0000, 0.0000, 0.0000) x1
Al (0.0000, 0.0000, 0.2552) x2
Al (0.0000, 0.0000, 0.5000) x1
Ni (0.0000, 0.5000, 0.1332) x4
Ni (0.0000, 0.5000, 0.3769) x4
Ni (0.5000, 0.5000, 0.0000) x1
Ni (0.5000, 0.5000, 0.2550) x2
Ni (0.5000, 0.5000, 0.5000) x1



Diffraction record for HfAl2O5. The X-ray powder pattern is theoretical, not measured: it uses a structure optimized by DFT (GGA-PBE) and a wavelength of 1.5418 Å.
Neutral-atom scattering factors, no anomalous dispersion.

Most intense lines, 2θ = 10–90°, by angle:
d = 5.144 Å, 2θ = 17.24°, I 43; d = 4.804 Å, 2θ = 18.47°, I 60; d = 4.353 Å, 2θ = 20.40°, I 49; d = 3.511 Å, 2θ = 25.37°, I 39; d = 3.423 Å, 2θ = 26.03°, I 42; d = 3.248 Å, 2θ = 27.46°, I 100; d = 2.791 Å, 2θ = 32.07°, I 42; d = 2.423 Å, 2θ = 37.11°, I 41

Cell and atoms:
a = 3.6640 Å, b = 9.6076 Å, c = 10.2882 Å
α = 90.00°, β = 90.00°, γ = 90.00°
Space group Cmcm (No. 63)
Unique sites:
Hf (0.0000, 0.1872, 0.2500) x4
Al (0.0000, 0.1369, 0.5474) x8
O (0.0000, 0.0400, 0.1131) x8
O (0.0000, 0.2249, 0.7500) x4
O (0.0000, 0.3095, 0.0627) x8